[1]
Diffraction record for Cd5As4O20. The X-ray powder pattern is calculated, not measured: it uses the PBE geometry in the Materials Project and Cu Kα, 1.54184 Å.
Kinematic intensities with the Lorentz-polarization factor, no thermal factor.

Crystal structure
Cell lengths 10.3850, 10.3850, 10.1063 Å; angles 95.01, 95.01, 54.81 degrees
Atoms (fractional coordinates):
Cd (0.1075, 0.8925, 0.7500)
Cd (0.1570, 0.1955, 0.8646)
Cd (0.1955, 0.1570, 0.3646)
Cd (0.2609, 0.4026, 0.1847)
Cd (0.4026, 0.2609, 0.6847)
Cd (0.5974, 0.7391, 0.3153)
Cd (0.7391, 0.5974, 0.8153)
Cd (0.8045, 0.8430, 0.6354)
Cd (0.8430, 0.8045, 0.1354)
Cd (0.8925, 0.1075, 0.2500)
As (0.0962, 0.5835, 0.8820)
As (0.1134, 0.7243, 0.4155)
As (0.2757, 0.8866, 0.0845)
As (0.4165, 0.9038, 0.6180)
As (0.5835, 0.0962, 0.3820)
As (0.7243, 0.1134, 0.9155)
As (0.8866, 0.2757, 0.5845)
As (0.9038, 0.4165, 0.1180)
O (0.0065, 0.1501, 0.7086)
O (0.0267, 0.8024, 0.5660)
O (0.0788, 0.6003, 0.0517)
O (0.0906, 0.3212, 0.1890)
O (0.1293, 0.5508, 0.3690)
O (0.1501, 0.0065, 0.2086)
O (0.1976, 0.9733, 0.9340)
O (0.2008, 0.6550, 0.8373)
O (0.2037, 0.3851, 0.8320)
O (0.2202, 0.3450, 0.5032)
O (0.2988, 0.6897, 0.4293)
O (0.3103, 0.7012, 0.0707)
O (0.3212, 0.0906, 0.6890)
O (0.3450, 0.2202, 0.0032)
O (0.3450, 0.7992, 0.6627)
O (0.3851, 0.2037, 0.3320)
O (0.3997, 0.9212, 0.4483)
O (0.4192, 0.4788, 0.7062)
O (0.4492, 0.8707, 0.1310)
O (0.4788, 0.4192, 0.2062)
O (0.5212, 0.5808, 0.7938)
O (0.5508, 0.1293, 0.8690)
O (0.5808, 0.5212, 0.2938)
O (0.6003, 0.0788, 0.5517)
O (0.6149, 0.7963, 0.6680)
O (0.6550, 0.2008, 0.3373)
O (0.6550, 0.7798, 0.9968)
O (0.6788, 0.9094, 0.3110)
O (0.6897, 0.2988, 0.9293)
O (0.7012, 0.3103, 0.5707)
O (0.7798, 0.6550, 0.4968)
O (0.7963, 0.6149, 0.1680)
O (0.7992, 0.3450, 0.1627)
O (0.8024, 0.0267, 0.0660)
O (0.8499, 0.9935, 0.7914)
O (0.8707, 0.4492, 0.6310)
O (0.9094, 0.6788, 0.8110)
O (0.9212, 0.3997, 0.9483)
O (0.9733, 0.1976, 0.4340)
O (0.9935, 0.8499, 0.2914)

Largest 6 diffraction maxima, in order of falling intensity, 10° ≤ 2θ ≤ 90°:
2θ 26.89, rel. 100; 2θ 28.14, rel. 73; 2θ 25.74, rel. 53; 2θ 10.43, rel. 43; 2θ 33.33, rel. 40; 2θ 26.71, rel. 38

[2]
Diffraction record for TiSO5. The X-ray powder pattern is calculated, not measured: it uses the PBE geometry in the Materials Project and Cu Kα, 1.54184 Å.
Kinematic intensities with the Lorentz-polarization factor, no thermal factor.

Crystal structure
Cell lengths 7.4422, 7.4422, 9.6081 Å; angles 90.08, 90.08, 139.09 degrees
Atoms (fractional coordinates):
Ti (0.0000, 0.5000, 0.5000)
Ti (0.0886, 0.9114, 0.7500)
Ti (0.5000, 0.0000, 0.0000)
Ti (0.9114, 0.0886, 0.2500)
S (0.1399, 0.3565, 0.9343)
S (0.3565, 0.1399, 0.4343)
S (0.6435, 0.8601, 0.5657)
S (0.8601, 0.6435, 0.0657)
O (0.0276, 0.3695, 0.3438)
O (0.1354, 0.7660, 0.0904)
O (0.1548, 0.2952, 0.0788)
O (0.1893, 0.2535, 0.8318)
O (0.2340, 0.8646, 0.4096)
O (0.2535, 0.1893, 0.3318)
O (0.2952, 0.1548, 0.5788)
O (0.3419, 0.6466, 0.5830)
O (0.3534, 0.6581, 0.9170)
O (0.3695, 0.0276, 0.8438)
O (0.6305, 0.9724, 0.1562)
O (0.6466, 0.3419, 0.0830)
O (0.6581, 0.3534, 0.4170)
O (0.7048, 0.8452, 0.4212)
O (0.7465, 0.8107, 0.6682)
O (0.7660, 0.1354, 0.5904)
O (0.8107, 0.7465, 0.1682)
O (0.8452, 0.7048, 0.9212)
O (0.8646, 0.2340, 0.9096)
O (0.9724, 0.6305, 0.6562)

Largest 6 diffraction maxima, in order of falling intensity, 10° ≤ 2θ ≤ 90°:
2θ 27.37, rel. 100; 2θ 25.99, rel. 29; 2θ 30.72, rel. 27; 2θ 22.47, rel. 19; 2θ 18.20, rel. 16; 2θ 18.47, rel. 14

[3]
Diffraction record for Er5Ge10Rh4. The X-ray powder pattern is calculated, not measured: it uses the PBE geometry in the Materials Project and Cu Kα, 1.54184 Å.
Kinematic intensities with the Lorentz-polarization factor, no thermal factor.

Crystal structure
Cell lengths 13.0595, 13.0595, 4.2839 Å; angles 90.00, 90.00, 90.00 degrees
Atoms (fractional coordinates):
Er (0.0000, 0.0000, 0.0000)
Er (0.1131, 0.3869, 0.5000)
Er (0.1754, 0.6754, 0.5000)
Er (0.3246, 0.1754, 0.5000)
Er (0.3869, 0.8869, 0.5000)
Er (0.5000, 0.5000, 0.0000)
Er (0.6131, 0.1131, 0.5000)
Er (0.6754, 0.8246, 0.5000)
Er (0.8246, 0.3246, 0.5000)
Er (0.8869, 0.6131, 0.5000)
Ge (0.0032, 0.8413, 0.5000)
Ge (0.0665, 0.5665, 0.0000)
Ge (0.1587, 0.0032, 0.5000)
Ge (0.1613, 0.2000, 0.0000)
Ge (0.2000, 0.8387, 0.0000)
Ge (0.3000, 0.3387, 0.0000)
Ge (0.3387, 0.7000, 0.0000)
Ge (0.3413, 0.5032, 0.5000)
Ge (0.4335, 0.0665, 0.0000)
Ge (0.4968, 0.3413, 0.5000)
Ge (0.5032, 0.6587, 0.5000)
Ge (0.5665, 0.9335, 0.0000)
Ge (0.6587, 0.4968, 0.5000)
Ge (0.6613, 0.3000, 0.0000)
Ge (0.7000, 0.6613, 0.0000)
Ge (0.8000, 0.1613, 0.0000)
Ge (0.8387, 0.8000, 0.0000)
Ge (0.8413, 0.9968, 0.5000)
Ge (0.9335, 0.4335, 0.0000)
Ge (0.9968, 0.1587, 0.5000)
Rh (0.0217, 0.7538, 0.0000)
Rh (0.2462, 0.0217, 0.0000)
Rh (0.2538, 0.5217, 0.0000)
Rh (0.4783, 0.2538, 0.0000)
Rh (0.5217, 0.7462, 0.0000)
Rh (0.7462, 0.4783, 0.0000)
Rh (0.7538, 0.9783, 0.0000)
Rh (0.9783, 0.2462, 0.0000)

Largest 6 diffraction maxima, in order of falling intensity, 10° ≤ 2θ ≤ 90°:
2θ 35.93, rel. 100; 2θ 34.54, rel. 71; 2θ 42.19, rel. 55; 2θ 32.37, rel. 48; 2θ 35.24, rel. 45; 2θ 35.04, rel. 34

[4]
Diffraction record for Cd3Bi. The X-ray powder pattern is calculated, not measured: it uses the PBE geometry in the Materials Project and Cu Kα, 1.54184 Å.
Kinematic intensities with the Lorentz-polarization factor, no thermal factor.

Crystal structure
Cell lengths 4.7557, 4.7557, 9.1311 Å; angles 90.00, 90.00, 90.00 degrees
Atoms (fractional coordinates):
Cd (0.0000, 0.0000, 0.0000)
Cd (0.0000, 0.5000, 0.2500)
Cd (0.0000, 0.5000, 0.7500)
Cd (0.5000, 0.0000, 0.2500)
Cd (0.5000, 0.0000, 0.7500)
Cd (0.5000, 0.5000, 0.5000)
Bi (0.0000, 0.0000, 0.5000)
Bi (0.5000, 0.5000, 0.0000)

Largest 6 diffraction maxima, in order of falling intensity, 10° ≤ 2θ ≤ 90°:
2θ 33.08, rel. 100; 2θ 37.84, rel. 35; 2θ 65.33, rel. 27; 2θ 55.83, rel. 22; 2θ 39.48, rel. 15; 2θ 67.57, rel. 13

[5]
Diffraction record for Ti2Pd. The X-ray powder pattern is calculated, not measured: it uses the PBE geometry in the Materials Project and Cu Kα, 1.54184 Å.
Kinematic intensities with the Lorentz-polarization factor, no thermal factor.

Crystal structure
Cell lengths 3.1223, 3.1223, 9.9731 Å; angles 90.00, 90.00, 90.00 degrees
Atoms (fractional coordinates):
Ti (0.0000, 0.0000, 0.1646)
Ti (0.0000, 0.0000, 0.8354)
Ti (0.5000, 0.5000, 0.3354)
Ti (0.5000, 0.5000, 0.6646)
Pd (0.0000, 0.0000, 0.5000)
Pd (0.5000, 0.5000, 0.0000)

Largest 6 diffraction maxima, in order of falling intensity, 10° ≤ 2θ ≤ 90°:
2θ 39.60, rel. 100; 2θ 40.87, rel. 46; 2θ 73.57, rel. 29; 2θ 29.99, rel. 18; 2θ 17.79, rel. 18; 2θ 70.98, rel. 16

[6]
Diffraction record for LaNbP2SO12. The X-ray powder pattern is calculated, not measured: it uses the PBE geometry in the Materials Project and Cu Kα, 1.54184 Å.
Kinematic intensities with the Lorentz-polarization factor, no thermal factor.

Crystal structure
Cell lengths 9.2659, 9.2659, 9.3901 Å; angles 120.44, 120.44, 60.34 degrees
Atoms (fractional coordinates):
La (0.2456, 0.7544, 0.5000)
La (0.7544, 0.2456, 0.0000)
Nb (0.4872, 0.9580, 0.1772)
Nb (0.9580, 0.4872, 0.6772)
P (0.1125, 0.8273, 0.8549)
P (0.6082, 0.6657, 0.3586)
P (0.6657, 0.6082, 0.8586)
P (0.8273, 0.1125, 0.3549)
S (0.1808, 0.3233, 0.3576)
S (0.3233, 0.1808, 0.8576)
O (0.0280, 0.3049, 0.1966)
O (0.1018, 0.6459, 0.8214)
O (0.1256, 0.8103, 0.6937)
O (0.1468, 0.3529, 0.5104)
O (0.1505, 0.3329, 0.8295)
O (0.2380, 0.4608, 0.3875)
O (0.2890, 0.8564, 0.0171)
O (0.3049, 0.0280, 0.6966)
O (0.3329, 0.1505, 0.3295)
O (0.3529, 0.1468, 0.0104)
O (0.4441, 0.7304, 0.3984)
O (0.4608, 0.2380, 0.8875)
O (0.5078, 0.6253, 0.6969)
O (0.6054, 0.8273, 0.3336)
O (0.6253, 0.5078, 0.1969)
O (0.6301, 0.7814, 0.0231)
O (0.6459, 0.1018, 0.3214)
O (0.7304, 0.4441, 0.8984)
O (0.7814, 0.6301, 0.5231)
O (0.8103, 0.1256, 0.1937)
O (0.8273, 0.6054, 0.8336)
O (0.8564, 0.2890, 0.5171)
O (0.9516, 0.9713, 0.8988)
O (0.9713, 0.9516, 0.3988)

Largest 6 diffraction maxima, in order of falling intensity, 10° ≤ 2θ ≤ 90°:
2θ 19.16, rel. 100; 2θ 26.97, rel. 40; 2θ 18.90, rel. 31; 2θ 33.38, rel. 28; 2θ 43.36, rel. 22; 2θ 33.61, rel. 22